(1)
Computed PXRD pattern of RbCrNiO4 for λ = 1.5418 Å (Cu Kα), from a crystal structure in Alexandria, relaxed with PBE+U.

Structural model:
a = 5.037 Å, b = 5.801 Å, c = 7.915 Å
α = 90.00°, β = 104.32°, γ = 90.00°
Atoms (fractional coordinates):
Rb (0.202, 0.250, 0.129)
Rb (0.798, 0.750, 0.871)
Cr (0.384, 0.250, 0.699)
Cr (0.616, 0.750, 0.301)
Ni (0.119, 0.750, 0.510)
Ni (0.881, 0.250, 0.490)
O (0.137, 0.022, 0.672)
O (0.137, 0.478, 0.672)
O (0.399, 0.750, 0.104)
O (0.495, 0.750, 0.482)
O (0.505, 0.250, 0.518)
O (0.601, 0.250, 0.896)
O (0.863, 0.522, 0.328)
O (0.863, 0.978, 0.328)

The 10 most intense peaks (2θ = 15–90°), by angle:
d (Å)  I/Imax  (hkl)
3.733  34  1 1 0
3.460  100  1 0 -2
3.199  49  0 1 2
3.132  97  1 1 1
2.971  32  1 1 -2
2.901  77  0 2 0
2.305  64  2 1 -1
2.223  48  1 2 -2
1.740  21  2 2 1
1.533  29  0 0 5

(2)
Computed PXRD pattern of CrNiRhO6 for λ = 1.5418 Å (Cu Kα), from a crystal structure in Alexandria, relaxed with PBE+U.

Structural model:
a = 5.032 Å, b = 5.032 Å, c = 8.655 Å
α = 90.00°, β = 90.00°, γ = 120.00°
Atoms (fractional coordinates):
Cr (0.333, 0.667, 0.250)
Cr (0.667, 0.333, 0.750)
Ni (0.000, 0.000, 0.000)
Ni (0.000, 0.000, 0.500)
Rh (0.333, 0.667, 0.750)
Rh (0.667, 0.333, 0.250)
O (0.007, 0.349, 0.130)
O (0.007, 0.658, 0.370)
O (0.342, 0.349, 0.370)
O (0.342, 0.993, 0.130)
O (0.349, 0.007, 0.630)
O (0.349, 0.342, 0.870)
O (0.651, 0.658, 0.130)
O (0.651, 0.993, 0.370)
O (0.658, 0.007, 0.870)
O (0.658, 0.651, 0.630)
O (0.993, 0.342, 0.630)
O (0.993, 0.651, 0.870)

The 10 most intense peaks (2θ = 15–90°), by angle:
d (Å)  I/Imax  (hkl)
4.328  20  0 0 2
3.892  15  1 0 1
3.071  100  1 0 2
2.516  42  1 1 0
2.175  26  1 1 2
1.946  26  2 0 2
1.641  49  1 1 4
1.539  23  2 1 2
1.453  21  3 0 0
1.164  9  4 -1 2

(3)
Computed PXRD pattern of CrNi2RhO6 for λ = 1.5418 Å (Cu Kα), from a crystal structure in Alexandria, relaxed with PBE+U.

Structural model:
a = 5.677 Å, b = 5.677 Å, c = 3.793 Å
α = 90.00°, β = 90.00°, γ = 90.00°
Atoms (fractional coordinates):
Cr (0.000, 0.000, 0.000)
Ni (0.000, 0.500, 0.182)
Ni (0.500, 0.000, 0.182)
Rh (0.500, 0.500, 0.021)
O (0.000, 0.000, 0.527)
O (0.247, 0.247, 0.079)
O (0.247, 0.753, 0.079)
O (0.500, 0.500, 0.529)
O (0.753, 0.247, 0.079)
O (0.753, 0.753, 0.079)

The 10 most intense peaks (2θ = 15–90°), by angle:
d (Å)  I/Imax  (hkl)
5.677  15  1 0 0
3.793  100  0 0 1
2.838  73  2 0 0
2.757  36  1 1 1
2.273  29  2 0 1
2.007  58  2 2 0
1.774  42  2 2 1
1.715  35  1 1 2
1.419  16  4 0 0
1.304  26  3 1 2

(4)
Computed PXRD pattern of CrNi2RuO6 for λ = 1.5418 Å (Cu Kα), from a crystal structure in Alexandria, relaxed with PBE+U.

Structural model:
a = 5.708 Å, b = 5.708 Å, c = 3.734 Å
α = 90.00°, β = 90.00°, γ = 90.00°
Atoms (fractional coordinates):
Cr (0.000, 0.000, 0.000)
Ni (0.000, 0.500, 0.141)
Ni (0.500, 0.000, 0.141)
Ru (0.500, 0.500, 0.008)
O (0.000, 0.000, 0.516)
O (0.248, 0.248, 0.049)
O (0.248, 0.752, 0.049)
O (0.500, 0.500, 0.515)
O (0.752, 0.248, 0.049)
O (0.752, 0.752, 0.049)

The 10 most intense peaks (2θ = 15–90°), by angle:
d (Å)  I/Imax  (hkl)
3.734  100  0 0 1
2.854  70  2 0 0
2.741  23  1 1 1
2.267  32  2 0 1
2.018  56  2 2 0
1.775  45  2 2 1
1.694  26  1 1 2
1.427  16  4 0 0
1.333  16  4 0 1
1.298  20  3 1 2